No. 1
For LuNi4, a GGA-PBE-relaxed structure gives the theoretical powder diffractogram in this record (Cu Ka).

Main lines, most intense first (5° ≤ 2θ ≤ 70°):
d = 2.025 Å, 2θ 44.76, intensity 100.0; d = 2.097 Å, 2θ 43.13, intensity 75.4; d = 2.395 Å, 2θ 37.55, intensity 59.6; d = 2.790 Å, 2θ 32.08, intensity 36.4; d = 2.005 Å, 2θ 45.22, intensity 32.4; d = 2.606 Å, 2θ 34.42, intensity 28.4; d = 2.081 Å, 2θ 43.49, intensity 25.2; d = 2.076 Å, 2θ 43.60, intensity 24.0; d = 1.424 Å, 2θ 65.56, intensity 18.2; d = 2.438 Å, 2θ 36.87, intensity 17.4; d = 2.989 Å, 2θ 29.89, intensity 17.1; d = 1.387 Å, 2θ 67.52, intensity 16.4

Cell and atoms:
```
data_LuNi4
_symmetry_space_group_name_H-M 'P 1'
_symmetry_Int_Tables_number 1
_cell_length_a 4.806
_cell_length_b 4.806
_cell_length_c 30.077
_cell_angle_alpha 90.00
_cell_angle_beta 90.00
_cell_angle_gamma 120.00
loop_
_symmetry_equiv_pos_as_xyz
'x,y,z'
loop_
_atom_site_label
_atom_site_fract_x
_atom_site_fract_y
_atom_site_fract_z
Lu1 0.208 0.428 0.285
Lu2 0.208 0.780 0.715
Lu3 0.213 0.425 0.167
Lu4 0.213 0.787 0.833
Lu5 0.220 0.428 0.048
Lu6 0.220 0.792 0.952
Lu7 0.572 0.780 0.618
Lu8 0.572 0.792 0.382
Lu9 0.575 0.787 0.500
Ni1 0.068 0.281 0.566
Ni2 0.068 0.787 0.434
Ni3 0.071 0.289 0.433
Ni4 0.071 0.783 0.567
Ni5 0.213 0.281 0.767
Ni6 0.213 0.932 0.233
Ni7 0.217 0.289 0.900
Ni8 0.217 0.929 0.100
Ni9 0.234 0.115 0.365
Ni10 0.234 0.119 0.635
Ni11 0.238 0.119 0.500
Ni12 0.545 0.090 0.167
Ni13 0.545 0.455 0.833
Ni14 0.547 0.106 0.302
Ni15 0.547 0.441 0.698
Ni16 0.559 0.106 0.032
Ni17 0.559 0.453 0.968
Ni18 0.569 0.283 0.566
Ni19 0.569 0.286 0.434
Ni20 0.711 0.783 0.767
Ni21 0.711 0.929 0.233
Ni22 0.714 0.283 0.767
Ni23 0.714 0.431 0.233
Ni24 0.717 0.286 0.899
Ni25 0.717 0.431 0.101
Ni26 0.719 0.787 0.900
Ni27 0.719 0.932 0.100
Ni28 0.881 0.115 0.969
Ni29 0.881 0.119 0.833
Ni30 0.881 0.762 0.167
Ni31 0.881 0.766 0.031
Ni32 0.885 0.119 0.698
Ni33 0.885 0.766 0.302
Ni34 0.894 0.441 0.635
Ni35 0.894 0.453 0.365
Ni36 0.910 0.455 0.500
```


No. 2
For Lu2NiOs, a GGA-PBE-relaxed structure gives the theoretical powder diffractogram in this record (Cu Ka).

Main lines, most intense first (5° ≤ 2θ ≤ 70°):
d = 2.321 Å, 2θ 38.80, intensity 100.0; d = 1.641 Å, 2θ 56.04, intensity 17.2; d = 3.790 Å, 2θ 23.47, intensity 7.9; d = 3.282 Å, 2θ 27.17, intensity 5.1; d = 1.979 Å, 2θ 45.85, intensity 4.2; d = 1.468 Å, 2θ 63.36, intensity 2.1; d = 1.506 Å, 2θ 61.58, intensity 1.8; d = 1.895 Å, 2θ 48.01, intensity 1.5

Cell and atoms:
```
data_Lu2NiOs
_symmetry_space_group_name_H-M 'P 1'
_symmetry_Int_Tables_number 1
_cell_length_a 4.642
_cell_length_b 4.642
_cell_length_c 4.642
_cell_angle_alpha 60.00
_cell_angle_beta 60.00
_cell_angle_gamma 60.00
loop_
_symmetry_equiv_pos_as_xyz
'x,y,z'
loop_
_atom_site_label
_atom_site_fract_x
_atom_site_fract_y
_atom_site_fract_z
Lu1 0.000 0.000 0.000
Lu2 0.250 0.250 0.250
Ni1 0.750 0.750 0.750
Os1 0.500 0.500 0.500
```